# NaTl2HgBr8
Computed XRD peak list, copper Kα. Input: the PBE geometry in Alexandria.
Peak positions follow from Bragg's law for the DFT cell and can differ from measured ones.

Top 12 peaks for 2θ = 10–80°, by angle:
d/Å	I/Imax
4.798	99
3.961	69
3.928	64
3.421	38
2.592	27
2.577	100
2.399	47
2.174	23
2.060	21
2.052	44
1.754	23
1.220	21

Atomic structure:
Cell lengths 8.3567, 8.3567, 8.3567 Å; angles 109.92, 109.92, 108.58 degrees
Atoms (fractional coordinates):
Na (0.0000, 0.0000, 0.0000)
Tl (0.2500, 0.7500, 0.5000)
Tl (0.5000, 0.5000, 0.0000)
Hg (0.7500, 0.2500, 0.5000)
Br (0.0661, 0.3666, 0.3005)
Br (0.0661, 0.7657, 0.6995)
Br (0.0828, 0.2997, 0.7831)
Br (0.2343, 0.9339, 0.3005)
Br (0.5167, 0.2997, 0.2169)
Br (0.6334, 0.9339, 0.6995)
Br (0.7003, 0.4833, 0.7831)
Br (0.7003, 0.9172, 0.2169)



# Pm2Nd4H
Computed XRD peak list, copper Kα. Input: the PBE geometry in Alexandria.
Peak positions follow from Bragg's law for the DFT cell and can differ from measured ones.

Top 12 peaks for 2θ = 10–80°, by angle:
d/Å	I/Imax
3.522	14
3.275	58
2.965	30
2.761	100
2.491	49
1.907	33
1.761	17
1.659	9
1.588	24
1.551	13
1.514	16
1.485	30

Atomic structure:
Cell lengths 4.9813, 4.9813, 17.7903 Å; angles 90.00, 90.00, 90.00 degrees
Atoms (fractional coordinates):
Pm (0.0000, 0.0000, 0.1466)
Pm (0.0000, 0.0000, 0.8534)
Pm (0.5000, 0.5000, 0.3534)
Pm (0.5000, 0.5000, 0.6466)
Nd (0.0000, 0.0000, 0.3474)
Nd (0.0000, 0.0000, 0.6526)
Nd (0.0000, 0.5000, 0.0000)
Nd (0.0000, 0.5000, 0.5000)
Nd (0.5000, 0.0000, 0.0000)
Nd (0.5000, 0.0000, 0.5000)
Nd (0.5000, 0.5000, 0.1526)
Nd (0.5000, 0.5000, 0.8474)
H (0.0000, 0.0000, 0.5000)
H (0.5000, 0.5000, 0.0000)



# K2MgSiO4
Computed XRD peak list, copper Kα. Input: the PBE geometry in Alexandria.
Peak positions follow from Bragg's law for the DFT cell and can differ from measured ones.

Top 12 peaks for 2θ = 10–80°, by angle:
d/Å	I/Imax
5.456	36
4.951	57
4.716	38
4.593	35
3.794	25
3.756	24
3.043	100
3.019	20
2.923	22
2.778	51
1.999	18
1.986	22

Atomic structure:
Cell lengths 5.1487, 6.5800, 10.2272 Å; angles 79.55, 76.98, 68.45 degrees
Atoms (fractional coordinates):
K (0.1391, 0.2410, 0.4144)
K (0.2061, 0.7398, 0.9130)
K (0.7939, 0.2602, 0.0870)
K (0.8609, 0.7590, 0.5856)
Mg (0.4795, 0.7488, 0.2473)
Mg (0.5205, 0.2512, 0.7527)
Si (0.0197, 0.2541, 0.7526)
Si (0.9803, 0.7459, 0.2474)
O (0.0726, 0.9311, 0.3003)
O (0.2173, 0.1503, 0.8723)
O (0.2286, 0.3577, 0.6338)
O (0.2954, 0.5623, 0.1957)
O (0.7046, 0.4377, 0.8043)
O (0.7714, 0.6423, 0.3662)
O (0.7827, 0.8497, 0.1277)
O (0.9274, 0.0689, 0.6997)



# Li12ZnAg2
Computed XRD peak list, copper Kα. Input: the PBE geometry in Alexandria.
Peak positions follow from Bragg's law for the DFT cell and can differ from measured ones.

Top 12 peaks for 2θ = 10–80°, by angle:
d/Å	I/Imax
5.081	100
4.679	77
4.465	40
3.442	73
2.825	22
2.541	24
2.469	32
2.418	38
2.387	21
2.184	52
2.125	22
1.752	24

Atomic structure:
Cell lengths 2.8252, 5.0810, 18.7152 Å; angles 90.00, 90.00, 90.00 degrees
Atoms (fractional coordinates):
Li (0.0000, 0.0000, 0.0720)
Li (0.0000, 0.0000, 0.9280)
Li (0.0000, 0.2429, 0.5000)
Li (0.0000, 0.7571, 0.5000)
Li (0.5000, 0.0000, 0.2184)
Li (0.5000, 0.0000, 0.3598)
Li (0.5000, 0.0000, 0.6402)
Li (0.5000, 0.0000, 0.7816)
Li (0.5000, 0.5000, 0.1295)
Li (0.5000, 0.5000, 0.3811)
Li (0.5000, 0.5000, 0.6189)
Li (0.5000, 0.5000, 0.8705)
Zn (0.0000, 0.5000, 0.0000)
Ag (0.0000, 0.5000, 0.2584)
Ag (0.0000, 0.5000, 0.7416)



# Sr3ScIn12
Computed XRD peak list, copper Kα. Input: the PBE geometry in Alexandria.
Peak positions follow from Bragg's law for the DFT cell and can differ from measured ones.

Top 12 peaks for 2θ = 10–80°, by angle:
d/Å	I/Imax
2.990	2
2.759	100
2.400	35
2.368	14
1.796	2
1.697	12
1.686	20
1.536	2
1.446	26
1.431	9
1.379	10
1.200	4

Atomic structure:
Cell lengths 4.8002, 4.8002, 18.9419 Å; angles 90.00, 90.00, 90.00 degrees
Atoms (fractional coordinates):
Sr (0.0000, 0.0000, 0.0000)
Sr (0.0000, 0.0000, 0.2598)
Sr (0.0000, 0.0000, 0.7402)
Sc (0.0000, 0.0000, 0.5000)
In (0.0000, 0.5000, 0.1291)
In (0.0000, 0.5000, 0.3874)
In (0.0000, 0.5000, 0.6126)
In (0.0000, 0.5000, 0.8709)
In (0.5000, 0.0000, 0.1291)
In (0.5000, 0.0000, 0.3874)
In (0.5000, 0.0000, 0.6126)
In (0.5000, 0.0000, 0.8709)
In (0.5000, 0.5000, 0.0000)
In (0.5000, 0.5000, 0.2532)
In (0.5000, 0.5000, 0.5000)
In (0.5000, 0.5000, 0.7468)



# Sr2LiTmTl6
Computed XRD peak list, copper Kα. Input: the PBE geometry in Alexandria.
Peak positions follow from Bragg's law for the DFT cell and can differ from measured ones.

Top 12 peaks for 2θ = 10–80°, by angle:
d/Å	I/Imax
6.444	25
6.223	16
3.263	100
3.250	52
2.709	11
2.472	32
2.443	49
2.437	12
2.393	11
2.193	11
2.188	12
2.148	18

Atomic structure:
Cell lengths 7.5180, 7.5303, 7.7549 Å; angles 61.55, 61.11, 60.85 degrees
Atoms (fractional coordinates):
Sr (0.1998, 0.1922, 0.4131)
Sr (0.8002, 0.8078, 0.5869)
Li (0.0000, 0.0000, 0.0000)
Tm (0.5000, 0.5000, 0.5000)
Tl (0.1397, 0.6749, 0.8484)
Tl (0.3234, 0.6653, 0.1506)
Tl (0.3357, 0.1414, 0.8538)
Tl (0.6643, 0.8586, 0.1462)
Tl (0.6766, 0.3347, 0.8494)
Tl (0.8603, 0.3251, 0.1516)



# BaBeCuP2
Computed XRD peak list, copper Kα. Input: the PBE geometry in Alexandria.
Peak positions follow from Bragg's law for the DFT cell and can differ from measured ones.

Top 12 peaks for 2θ = 10–80°, by angle:
d/Å	I/Imax
5.709	39
5.001	30
3.660	48
3.427	60
3.027	63
2.854	40
2.817	85
2.711	100
2.360	47
2.157	33
1.969	31
1.932	30

Atomic structure:
Cell lengths 6.0414, 6.0414, 9.1044 Å; angles 93.98, 93.98, 37.29 degrees
Atoms (fractional coordinates):
Ba (0.1518, 0.1518, 0.1729)
Ba (0.8482, 0.8482, 0.8271)
Be (0.4300, 0.4300, 0.3103)
Be (0.5700, 0.5700, 0.6897)
Cu (0.1807, 0.1807, 0.5585)
Cu (0.8193, 0.8193, 0.4415)
P (0.1246, 0.1246, 0.8040)
P (0.3985, 0.3985, 0.5529)
P (0.6015, 0.6015, 0.4471)
P (0.8754, 0.8754, 0.1960)



# LaDy12Tm2
Computed XRD peak list, copper Kα. Input: the PBE geometry in Alexandria.
Peak positions follow from Bragg's law for the DFT cell and can differ from measured ones.

Top 12 peaks for 2θ = 10–80°, by angle:
d/Å	I/Imax
2.946	100
2.866	44
2.786	69
2.771	41
2.753	73
2.665	33
1.965	30
1.780	19
1.638	18
1.542	20
1.523	21
1.500	21

Atomic structure:
Cell lengths 6.6123, 6.6123, 24.3378 Å; angles 92.26, 92.26, 114.86 degrees
Atoms (fractional coordinates):
La (0.2493, 0.2493, 0.4984)
La (0.7507, 0.7507, 0.5016)
Dy (0.0547, 0.5457, 0.7031)
Dy (0.0768, 0.5881, 0.8304)
Dy (0.1328, 0.6432, 0.0551)
Dy (0.1487, 0.1487, 0.0710)
Dy (0.2144, 0.2144, 0.3573)
Dy (0.2318, 0.7314, 0.4238)
Dy (0.2686, 0.7682, 0.5762)
Dy (0.2838, 0.2838, 0.6377)
Dy (0.3568, 0.8672, 0.9449)
Dy (0.3595, 0.3595, 0.9199)
Dy (0.4119, 0.9232, 0.1696)
Dy (0.4543, 0.9453, 0.2969)
Dy (0.5457, 0.0547, 0.7031)
Dy (0.5881, 0.0768, 0.8304)
Dy (0.6405, 0.6405, 0.0801)
Dy (0.6432, 0.1328, 0.0551)
Dy (0.7162, 0.7162, 0.3623)
Dy (0.7314, 0.2318, 0.4238)
Dy (0.7682, 0.2686, 0.5762)
Dy (0.7856, 0.7856, 0.6427)
Dy (0.8513, 0.8513, 0.9290)
Dy (0.8672, 0.3568, 0.9449)
Dy (0.9232, 0.4119, 0.1696)
Dy (0.9453, 0.4543, 0.2969)
Tm (0.0729, 0.0729, 0.7727)
Tm (0.4369, 0.4369, 0.2281)
Tm (0.5631, 0.5631, 0.7719)
Tm (0.9271, 0.9271, 0.2273)